1.
Structure and computed powder XRD pattern of La6ZnCo2 (a PBE-relaxed structure; Cu Kα).
Kinematic intensities with the Lorentz-polarization factor, no thermal factor.

Crystal structure
Cell: 9.484 10.130 10.497 Å, 90.00 90.00 90.00°
Space group Immm (No. 71)
Symmetry-distinct sites (fractional):
La  0.000  0.200  0.221 [8 per cell]
La  0.190  0.500  0.167 [8 per cell]
La  0.200  0.328  0.500 [8 per cell]
Zn  0.000  0.000  0.000 [2 per cell]
Zn  0.000  0.000  0.500 [2 per cell]
Co  0.000  0.318  0.000 [4 per cell]
Co  0.000  0.500  0.358 [4 per cell]

The 12 most intense peaks (2θ from 10° to 80°), in order of rising 2θ:
2θ (°)	Rel. int.	index
25.31	15	2 0 2
26.96	15	0 1 3
27.75	23	0 3 1
29.59	32	3 1 0
30.94	57	2 2 2
32.97	100	1 3 2
33.68	32	2 3 1
34.52	28	3 2 1
38.37	15	3 0 3
38.64	17	0 2 4
55.91	18	2 5 3
58.52	26	5 3 2

---

2.
Structure and computed powder XRD pattern of La6ZnCo (a PBE-relaxed structure; Cu Kα).
Kinematic intensities with the Lorentz-polarization factor, no thermal factor.

Crystal structure
Cell: 5.198 5.198 18.077 Å, 90.00 90.00 90.00°
Space group I4/mmm (No. 139)
Symmetry-distinct sites (fractional):
La  0.000  0.000  0.248 [4 per cell]
La  0.000  0.500  0.097 [8 per cell]
Zn  0.000  0.000  0.000 [2 per cell]
Co  0.000  0.000  0.500 [2 per cell]

The 12 most intense peaks (2θ from 10° to 80°), in order of rising 2θ:
2θ (°)	Rel. int.	index
26.17	26	1 1 2
29.65	16	0 0 6
31.37	100	1 1 4
34.51	52	2 0 0
38.64	10	1 1 6
46.13	20	2 0 6
49.61	19	2 2 0
53.76	7	2 0 8
56.75	13	1 1 10
58.86	10	2 2 6
59.88	31	3 1 4
78.68	10	3 1 10

---

3.
Structure and computed powder XRD pattern of La2Zn12Co5 (a PBE-relaxed structure; Cu Kα).
Kinematic intensities with the Lorentz-polarization factor, no thermal factor.

Crystal structure
Cell: 8.9418 8.9418 12.7992 Å, 90.00 90.00 120.00°
Space group R-3m (No. 166, hexagonal axes)
Symmetry-distinct sites (fractional):
La  0.0000  0.0000  0.1645 [6 per cell]
Zn  0.0000  0.2832  0.5000 [18 per cell]
Zn  0.0144  0.5072  0.3485 [18 per cell]
Co  0.0000  0.0000  0.4034 [6 per cell]
Co  0.0000  0.5000  0.0000 [9 per cell]

The 12 most intense peaks (2θ from 10° to 80°), in order of rising 2θ:
2θ (°)	Rel. int.	index
28.93	28	1 1 3
34.75	35	3 0 0
36.43	32	0 2 4
40.35	64	2 2 0
40.86	100	3 0 3
42.35	56	0 0 6
45.83	32	2 2 3
47.18	16	1 2 5
58.77	17	1 4 3
59.94	16	2 2 6
73.36	15	6 0 0
76.47	17	3 0 9

---

4.
Structure and computed powder XRD pattern of LaZn3Co (a PBE-relaxed structure; Cu Kα).
Kinematic intensities with the Lorentz-polarization factor, no thermal factor.

Crystal structure
Cell: 4.622 4.622 4.622 Å, 90.00 90.00 90.00°
Space group Pm-3m (No. 221)
Symmetry-distinct sites (fractional):
La  0.000  0.000  0.000 [1 per cell]
Zn  0.000  0.500  0.500 [3 per cell]
Co  0.500  0.500  0.500 [1 per cell]

The 9 most intense peaks (2θ from 10° to 80°), in order of rising 2θ:
2θ (°)	Rel. int.	index
27.29	49	1 1 0
33.59	98	1 1 1
38.98	100	2 0 0
48.23	20	2 1 1
56.30	66	2 2 0
63.67	9	3 1 0
67.18	38	3 1 1
70.60	21	2 2 2
77.24	10	3 2 1

---

5.
Structure and computed powder XRD pattern of LaZr3Co (a PBE-relaxed structure; Cu Kα).
Kinematic intensities with the Lorentz-polarization factor, no thermal factor.

Crystal structure
Cell: 4.976 4.976 4.976 Å, 90.00 90.00 90.00°
Space group Pm-3m (No. 221)
Symmetry-distinct sites (fractional):
La  0.000  0.000  0.000 [1 per cell]
Zr  0.000  0.500  0.500 [3 per cell]
Co  0.500  0.500  0.500 [1 per cell]

The 11 most intense peaks (2θ from 10° to 80°), in order of rising 2θ:
2θ (°)	Rel. int.	index
17.82	1	1 0 0
25.31	23	1 1 0
31.13	100	1 1 1
36.10	92	2 0 0
44.60	10	2 1 1
51.98	63	2 2 0
58.67	4	3 1 0
61.84	41	3 1 1
64.91	21	2 2 2
70.85	5	3 2 1
76.59	10	4 0 0

---

6.
Structure and computed powder XRD pattern of Li5Co3 (a PBE-relaxed structure; Cu Kα).
Kinematic intensities with the Lorentz-polarization factor, no thermal factor.

Crystal structure
Cell: 5.331 8.854 4.209 Å, 90.00 90.00 90.00°
Space group Cmmm (No. 65)
Symmetry-distinct sites (fractional):
Li  0.000  0.000  0.000 [2 per cell]
Li  0.000  0.251  0.500 [4 per cell]
Li  0.250  0.250  0.000 [4 per cell]
Co  0.000  0.500  0.000 [2 per cell]
Co  0.233  0.500  0.500 [4 per cell]

The 12 most intense peaks (2θ from 10° to 80°), in order of rising 2θ:
2θ (°)	Rel. int.	index
19.44	37	1 1 0
20.06	100	0 2 0
21.11	10	0 0 1
28.85	10	1 1 1
40.04	31	2 0 1
40.77	24	0 4 0
42.98	20	0 0 2
45.17	67	2 2 1
47.86	19	0 2 2
58.47	19	2 4 1
60.72	13	0 4 2
77.31	12	2 6 1

---

What did the sixth record say?
Structure and computed powder XRD pattern of Li5Co3 (a PBE-relaxed structure; Cu Kα).
Kinematic intensities with the Lorentz-polarization factor, no thermal factor.

Crystal structure
Cell: 5.331 8.854 4.209 Å, 90.00 90.00 90.00°
Space group Cmmm (No. 65)
Symmetry-distinct sites (fractional):
Li  0.000  0.000  0.000 [2 per cell]
Li  0.000  0.251  0.500 [4 per cell]
Li  0.250  0.250  0.000 [4 per cell]
Co  0.000  0.500  0.000 [2 per cell]
Co  0.233  0.500  0.500 [4 per cell]

The 12 most intense peaks (2θ from 10° to 80°), in order of rising 2θ:
2θ (°)	Rel. int.	index
19.44	37	1 1 0
20.06	100	0 2 0
21.11	10	0 0 1
28.85	10	1 1 1
40.04	31	2 0 1
40.77	24	0 4 0
42.98	20	0 0 2
45.17	67	2 2 1
47.86	19	0 2 2
58.47	19	2 4 1
60.72	13	0 4 2
77.31	12	2 6 1

---

> Number 2 is which compound?

La6ZnCo